Theoretical X-ray diffraction stick pattern
Compound: Y3In2Hg
Radiation: λ = 1.5418 Å (Cu Kα)
Structure: a crystal structure in Alexandria, relaxed with GGA-PBE

a b c (Å): 3.7241 3.7241 11.4483
angles (deg): 90.00 90.00 90.00
Fractional coordinates of all 6 atoms:
Y (0.0000, 0.0000, 0.0000)
Y (0.0000, 0.0000, 0.3389)
Y (0.0000, 0.0000, 0.6611)
In (0.5000, 0.5000, 0.1709)
In (0.5000, 0.5000, 0.8291)
Hg (0.5000, 0.5000, 0.5000)

The 6 most intense peaks (10° ≤ 2θ ≤ 80°), most intense first:
2theta, I_rel, index
33.6, 1000, 1 0 3
34.0, 486, 1 1 0
60.7, 355, 2 1 3
59.9, 182, 1 1 6
48.9, 172, 2 0 0
70.7, 110, 2 0 6